The following is a simulated powder diffractogram of Rb4CaMn3F12. It was derived from a structure optimized by DFT (GGA+U), using Cu Kα, 1.54184 Å.

Structural model:
```
data_Rb4CaMn3F12
_chemical_formula_sum 'Rb8 Ca2 Mn6 F24'
_cell_length_a 8.7179
_cell_length_b 8.7179
_cell_length_c 8.7179
_cell_angle_alpha 90.00
_cell_angle_beta 90.00
_cell_angle_gamma 90.00
_space_group_name_H-M_alt 'I m -3 m'
_space_group_IT_number 229
_space_group_name_Hall '-I 4 2 3'
loop_
_atom_site_label
_atom_site_type_symbol
_atom_site_fract_x
_atom_site_fract_y
_atom_site_fract_z
Rb1 Rb 0.2500 0.2500 0.2500
Ca1 Ca 0.0000 0.0000 0.0000
Mn1 Mn 0.0000 0.0000 0.5000
F1 F 0.0000 0.0000 0.2572
F2 F 0.0000 0.2500 0.5000
```

Largest 10 diffraction maxima, low angle first, 15 to 90 degrees two-theta:
(2 0 0), 2θ = 20.4°, d = 4.359 Å, I 1
(2 2 0), 2θ = 29.0°, d = 3.082 Å, I 100
(2 2 2), 2θ = 35.7°, d = 2.517 Å, I 23
(4 0 0), 2θ = 41.4°, d = 2.179 Å, I 50
(4 2 2), 2θ = 51.3°, d = 1.780 Å, I 39
(4 4 0), 2θ = 60.0°, d = 1.541 Å, I 30
(6 2 0), 2θ = 68.0°, d = 1.378 Å, I 17
(6 2 2), 2θ = 71.8°, d = 1.314 Å, I 7
(4 4 4), 2θ = 75.6°, d = 1.258 Å, I 9
(6 4 2), 2θ = 82.9°, d = 1.165 Å, I 20